NdEr2Tm7: theoretical X-ray diffraction stick pattern (Cu Ka), based on a crystal structure in Alexandria, relaxed with GGA-PBE.

Cell and atoms:
```
data_NdEr2Tm7
_chemical_formula_sum 'Nd1 Er2 Tm7'
_space_group_name_H-M_alt 'P -1'
_space_group_IT_number 2
_cell_length_a 6.073
_cell_length_b 7.027
_cell_length_c 7.837
_cell_angle_alpha 77.14
_cell_angle_beta 75.05
_cell_angle_gamma 73.27
loop_
_space_group_symop_operation_xyz
'x,y,z'
'-x,-y,-z'
loop_
_atom_site_label
_atom_site_fract_x
_atom_site_fract_y
_atom_site_fract_z
Nd1 0.000 0.000 0.000
Er1 0.200 0.301 0.600
Tm1 0.000 0.500 0.000
Tm2 0.201 0.799 0.599
Tm3 0.400 0.100 0.201
Tm4 0.401 0.599 0.201
```

Peak list (6 most intense, 10° ≤ 2θ ≤ 90°, by angle)
(2 0 1), 2θ = 31.22°, rel. 100
(2 2 0), 2θ = 36.20°, rel. 51
(1 4 1), 2θ = 52.09°, rel. 18
(3 2 3), 2θ = 52.18°, rel. 18
(3 4 2), 2θ = 62.01°, rel. 25
(4 2 1), 2θ = 62.09°, rel. 14